Entry 1:
Diffraction record for CsAgWO4. The powder X-ray diffraction pattern is calculated, not measured: it uses a GGA+U-relaxed structure and Cu Kα X-rays.
Kinematic intensities with the Lorentz-polarization factor, no thermal factor.

Atomic structure:
```
CsAgWO4
1.0
5.675 0.000 0.000
0.000 6.640 0.000
-2.591 0.000 8.397
Cs Ag W O
2 2 2 8
direct
0.032 0.250 0.157
0.968 0.750 0.843
0.345 0.750 0.532
0.655 0.250 0.468
0.329 0.250 0.694
0.671 0.750 0.306
0.072 0.250 0.512
0.211 0.250 0.864
0.480 0.525 0.301
0.480 0.975 0.301
0.520 0.025 0.699
0.520 0.475 0.699
0.789 0.750 0.136
0.928 0.750 0.488
```

Top 10 peaks for 2θ = 10–90°, by intensity:
- 2θ = 26.85°, intensity 100, (0 2 0)
- 2θ = 26.37°, intensity 99, (1 1 -2)
- 2θ = 21.98°, intensity 90, (1 0 1)
- 2θ = 10.54°, intensity 66, (0 0 1)
- 2θ = 25.79°, intensity 65, (1 1 1)
- 2θ = 34.97°, intensity 51, (1 2 1)
- 2θ = 25.09°, intensity 43, (0 1 2)
- 2θ = 41.89°, intensity 38, (2 2 -1)
- 2θ = 21.16°, intensity 36, (1 1 0)
- 2θ = 31.55°, intensity 33, (2 0 -1)

***

Entry 2:
Diffraction record for Cs3AgW2O8. The powder X-ray diffraction pattern is calculated, not measured: it uses a GGA+U-relaxed structure and Cu Kα X-rays.
Kinematic intensities with the Lorentz-polarization factor, no thermal factor.

Atomic structure:
```
Cs3AgW2O8
1.0
6.501 0.000 0.000
-3.250 5.630 0.000
0.000 0.000 8.405
Cs Ag W O
3 1 2 8
direct
0.000 0.000 0.000
0.333 0.667 0.668
0.667 0.333 0.332
0.000 0.000 0.500
0.333 0.667 0.230
0.667 0.333 0.770
0.181 0.362 0.305
0.181 0.819 0.305
0.333 0.667 0.015
0.362 0.181 0.695
0.638 0.819 0.305
0.667 0.333 0.985
0.819 0.181 0.695
0.819 0.638 0.695
```

Top 10 peaks for 2θ = 10–90°, by intensity:
- 2θ = 27.44°, intensity 100, (1 1 0)
- 2θ = 26.47°, intensity 81, (0 1 2)
- 2θ = 38.49°, intensity 39, (2 0 2)
- 2θ = 47.92°, intensity 31, (1 2 2)
- 2θ = 48.51°, intensity 21, (3 0 0)
- 2θ = 56.63°, intensity 16, (2 2 0)
- 2θ = 18.97°, intensity 16, (0 1 1)
- 2θ = 63.57°, intensity 14, (3 1 2)
- 2θ = 35.80°, intensity 12, (0 1 3)
- 2θ = 77.73°, intensity 10, (4 1 0)